[1]
Starting from a cell relaxed with GGA+U, the X-ray diffraction stick pattern of Ba3Sr5Ti7MnO24 was simulated for λ = 1.5418 Å (Cu Kα).
No peak broadening, texture or thermal motion is included.

Cell and atoms:
```
data_Ba3Sr5Ti7MnO24
_cell_length_a 7.943
_cell_length_b 7.943
_cell_length_c 8.018
_cell_angle_alpha 90.17
_cell_angle_beta 90.17
_cell_angle_gamma 89.90
_symmetry_space_group_name_H-M 'P 1'
_symmetry_Int_Tables_number 1
_symmetry_space_group_name_Hall 'P 1'
loop_
_atom_site_label
_atom_site_type_symbol
_atom_site_fract_x
_atom_site_fract_y
_atom_site_fract_z
Ba1 Ba 0.000 0.000 0.000
Ba2 Ba 0.001 0.505 0.999
Ba3 Ba 0.505 0.001 0.999
Sr1 Sr 0.004 0.004 0.491
Sr2 Sr 0.006 0.506 0.493
Sr3 Sr 0.504 0.504 0.495
Sr4 Sr 0.506 0.006 0.493
Sr5 Sr 0.508 0.508 0.992
Ti1 Ti 0.258 0.258 0.737
Ti2 Ti 0.258 0.757 0.736
Ti3 Ti 0.259 0.259 0.245
Ti4 Ti 0.259 0.756 0.245
Ti5 Ti 0.756 0.259 0.245
Ti6 Ti 0.756 0.756 0.734
Ti7 Ti 0.757 0.258 0.736
Mn1 Mn 0.752 0.752 0.251
O1 O 0.247 0.247 0.506
O2 O 0.249 0.996 0.749
O3 O 0.250 0.497 0.749
O4 O 0.250 0.747 0.505
O5 O 0.251 0.498 0.264
O6 O 0.251 0.997 0.262
O7 O 0.253 0.253 0.010
O8 O 0.255 0.745 0.010
O9 O 0.497 0.250 0.749
O10 O 0.498 0.251 0.264
O11 O 0.498 0.744 0.749
O12 O 0.501 0.746 0.261
O13 O 0.744 0.498 0.749
O14 O 0.745 0.255 0.010
O15 O 0.745 0.745 0.013
O16 O 0.746 0.501 0.261
O17 O 0.747 0.250 0.505
O18 O 0.747 0.747 0.501
O19 O 0.747 0.996 0.746
O20 O 0.749 0.995 0.263
O21 O 0.995 0.749 0.263
O22 O 0.996 0.249 0.749
O23 O 0.996 0.747 0.746
O24 O 0.997 0.251 0.262
```

The 6 most intense peaks (2θ = 15–90°), in order of falling intensity:
| two_theta | I_rel |
| --- | --- |
| 31.71 | 100.0 |
| 31.87 | 49.4 |
| 45.69 | 37.2 |
| 56.73 | 28.1 |
| 39.20 | 24.7 |
| 45.24 | 18.8 |

***

[2]
Starting from a cell relaxed with GGA+U, the X-ray diffraction stick pattern of BaSr7Ti5Mn3O24 was simulated for λ = 1.5418 Å (Cu Kα).
No peak broadening, texture or thermal motion is included.

Cell and atoms:
```
data_BaSr7Ti5Mn3O24
_cell_length_a 7.891
_cell_length_b 7.891
_cell_length_c 7.831
_cell_angle_alpha 90.02
_cell_angle_beta 90.02
_cell_angle_gamma 89.97
_symmetry_space_group_name_H-M 'P 1'
_symmetry_Int_Tables_number 1
_symmetry_space_group_name_Hall 'P 1'
loop_
_atom_site_label
_atom_site_type_symbol
_atom_site_fract_x
_atom_site_fract_y
_atom_site_fract_z
Ba1 Ba 0.000 0.000 0.000
Sr1 Sr 0.000 0.496 0.001
Sr2 Sr 0.000 0.497 0.491
Sr3 Sr 0.495 0.495 0.001
Sr4 Sr 0.496 0.000 0.001
Sr5 Sr 0.496 0.496 0.491
Sr6 Sr 0.497 0.000 0.491
Sr7 Sr 0.999 0.999 0.491
Ti1 Ti 0.246 0.745 0.744
Ti2 Ti 0.247 0.247 0.743
Ti3 Ti 0.743 0.743 0.745
Ti4 Ti 0.745 0.246 0.744
Ti5 Ti 0.746 0.746 0.247
Mn1 Mn 0.250 0.250 0.247
Mn2 Mn 0.250 0.748 0.247
Mn3 Mn 0.748 0.250 0.247
O1 O 0.002 0.256 0.743
O2 O 0.003 0.746 0.251
O3 O 0.003 0.749 0.743
O4 O 0.252 0.501 0.247
O5 O 0.253 0.253 0.494
O6 O 0.253 0.253 0.999
O7 O 0.253 0.748 0.494
O8 O 0.254 0.501 0.746
O9 O 0.255 0.748 0.999
O10 O 0.255 0.999 0.253
O11 O 0.256 0.002 0.743
O12 O 0.499 0.748 0.248
O13 O 0.501 0.252 0.247
O14 O 0.501 0.254 0.746
O15 O 0.502 0.752 0.746
O16 O 0.746 0.003 0.251
O17 O 0.748 0.253 0.494
O18 O 0.748 0.255 0.999
O19 O 0.748 0.499 0.248
O20 O 0.748 0.748 0.998
O21 O 0.749 0.003 0.743
O22 O 0.750 0.750 0.496
O23 O 0.752 0.502 0.746
O24 O 0.999 0.255 0.253
```

The 6 most intense peaks (2θ = 15–90°), in order of falling intensity:
| two_theta | I_rel |
| --- | --- |
| 32.21 | 100.0 |
| 32.08 | 50.7 |
| 46.01 | 39.8 |
| 57.27 | 38.0 |
| 39.67 | 29.0 |
| 67.39 | 22.3 |

***

[3]
Starting from a cell relaxed with GGA+U, the X-ray diffraction stick pattern of Ba2Sr6Ti7MnO24 was simulated for λ = 1.5418 Å (Cu Kα).
No peak broadening, texture or thermal motion is included.

Cell and atoms:
```
data_Ba2Sr6Ti7MnO24
_cell_length_a 7.897
_cell_length_b 7.897
_cell_length_c 8.003
_cell_angle_alpha 90.00
_cell_angle_beta 90.00
_cell_angle_gamma 90.02
_symmetry_space_group_name_H-M 'P 1'
_symmetry_Int_Tables_number 1
_symmetry_space_group_name_Hall 'P 1'
loop_
_atom_site_label
_atom_site_type_symbol
_atom_site_fract_x
_atom_site_fract_y
_atom_site_fract_z
Ba1 Ba 0.248 0.248 0.000
Ba2 Ba 0.752 0.752 0.000
Sr1 Sr 0.247 0.753 0.005
Sr2 Sr 0.250 0.250 0.506
Sr3 Sr 0.250 0.750 0.506
Sr4 Sr 0.750 0.250 0.506
Sr5 Sr 0.750 0.750 0.506
Sr6 Sr 0.753 0.247 0.005
Ti1 Ti 0.000 0.000 0.263
Ti2 Ti 0.000 0.500 0.261
Ti3 Ti 0.000 0.500 0.755
Ti4 Ti 0.500 0.000 0.261
Ti5 Ti 0.500 0.000 0.755
Ti6 Ti 0.500 0.500 0.260
Ti7 Ti 0.500 0.500 0.756
Mn1 Mn 0.000 0.000 0.749
O1 O 0.000 0.000 0.497
O2 O 0.000 0.000 0.986
O3 O 0.000 0.500 0.493
O4 O 0.000 0.500 0.990
O5 O 0.002 0.751 0.249
O6 O 0.002 0.753 0.739
O7 O 0.247 0.998 0.739
O8 O 0.249 0.998 0.249
O9 O 0.250 0.501 0.737
O10 O 0.250 0.502 0.246
O11 O 0.498 0.750 0.246
O12 O 0.499 0.750 0.737
O13 O 0.500 0.000 0.493
O14 O 0.500 0.000 0.990
O15 O 0.500 0.500 0.491
O16 O 0.500 0.500 0.989
O17 O 0.501 0.250 0.737
O18 O 0.502 0.250 0.246
O19 O 0.750 0.498 0.246
O20 O 0.750 0.499 0.737
O21 O 0.751 0.002 0.249
O22 O 0.753 0.002 0.739
O23 O 0.998 0.247 0.739
O24 O 0.998 0.249 0.249
```

The 6 most intense peaks (2θ = 15–90°), in order of falling intensity:
| two_theta | I_rel |
| --- | --- |
| 31.84 | 100.0 |
| 32.06 | 49.0 |
| 45.97 | 38.0 |
| 57.01 | 37.3 |
| 39.35 | 32.0 |
| 66.54 | 21.9 |

***

[4]
Starting from a cell relaxed with GGA+U, the X-ray diffraction stick pattern of BaSr7Ti6Mn2O24 was simulated for λ = 1.5418 Å (Cu Kα).
No peak broadening, texture or thermal motion is included.

Cell and atoms:
```
data_BaSr7Ti6Mn2O24
_cell_length_a 7.913
_cell_length_b 7.868
_cell_length_c 7.868
_cell_angle_alpha 90.01
_cell_angle_beta 90.00
_cell_angle_gamma 90.00
_symmetry_space_group_name_H-M 'P 1'
_symmetry_Int_Tables_number 1
_symmetry_space_group_name_Hall 'P 1'
loop_
_atom_site_label
_atom_site_type_symbol
_atom_site_fract_x
_atom_site_fract_y
_atom_site_fract_z
Ba1 Ba 0.000 0.000 0.000
Sr1 Sr 0.000 0.001 0.507
Sr2 Sr 0.000 0.506 0.506
Sr3 Sr 0.000 0.507 0.001
Sr4 Sr 0.500 0.001 0.507
Sr5 Sr 0.500 0.507 0.001
Sr6 Sr 0.500 0.507 0.507
Sr7 Sr 0.500 0.999 0.999
Ti1 Ti 0.251 0.255 0.754
Ti2 Ti 0.251 0.257 0.257
Ti3 Ti 0.251 0.754 0.255
Ti4 Ti 0.749 0.255 0.754
Ti5 Ti 0.749 0.257 0.257
Ti6 Ti 0.749 0.754 0.255
Mn1 Mn 0.251 0.752 0.752
Mn2 Mn 0.749 0.752 0.752
O1 O 0.000 0.254 0.254
O2 O 0.000 0.255 0.746
O3 O 0.000 0.746 0.255
O4 O 0.000 0.746 0.746
O5 O 0.251 0.503 0.749
O6 O 0.251 0.749 0.503
O7 O 0.252 0.252 0.500
O8 O 0.252 0.500 0.252
O9 O 0.253 0.254 0.999
O10 O 0.253 0.747 0.998
O11 O 0.253 0.998 0.747
O12 O 0.253 0.999 0.254
O13 O 0.500 0.250 0.250
O14 O 0.500 0.253 0.748
O15 O 0.500 0.748 0.253
O16 O 0.500 0.750 0.750
O17 O 0.747 0.254 0.999
O18 O 0.747 0.747 0.998
O19 O 0.747 0.998 0.747
O20 O 0.747 0.999 0.254
O21 O 0.748 0.252 0.500
O22 O 0.748 0.500 0.252
O23 O 0.749 0.503 0.749
O24 O 0.749 0.749 0.503
```

The 6 most intense peaks (2θ = 15–90°), in order of falling intensity:
| two_theta | I_rel |
| --- | --- |
| 32.11 | 100.0 |
| 46.15 | 26.1 |
| 57.31 | 25.0 |
| 39.60 | 20.1 |
| 67.10 | 15.1 |
| 45.87 | 13.4 |

***

[5]
Starting from a cell relaxed with GGA+U, the X-ray diffraction stick pattern of Ba2TaMnO6 was simulated for λ = 1.5418 Å (Cu Kα).
No peak broadening, texture or thermal motion is included.

Cell and atoms:
```
data_Ba2TaMnO6
_cell_length_a 5.783
_cell_length_b 5.783
_cell_length_c 9.977
_cell_angle_alpha 105.31
_cell_angle_beta 105.31
_cell_angle_gamma 61.21
_symmetry_space_group_name_H-M 'P 1'
_symmetry_Int_Tables_number 1
_symmetry_space_group_name_Hall 'P 1'
loop_
_atom_site_label
_atom_site_type_symbol
_atom_site_fract_x
_atom_site_fract_y
_atom_site_fract_z
Ba1 Ba 0.117 0.634 0.875
Ba2 Ba 0.366 0.883 0.625
Ba3 Ba 0.634 0.117 0.375
Ba4 Ba 0.883 0.366 0.125
Ta1 Ta 0.263 0.737 0.250
Ta2 Ta 0.737 0.263 0.750
Mn1 Mn 0.000 0.500 0.500
Mn2 Mn 0.500 0.000 0.000
O1 O 0.085 0.153 0.870
O2 O 0.142 0.607 0.376
O3 O 0.153 0.085 0.370
O4 O 0.356 0.393 0.628
O5 O 0.393 0.356 0.128
O6 O 0.393 0.858 0.124
O7 O 0.607 0.142 0.876
O8 O 0.607 0.644 0.872
O9 O 0.644 0.607 0.372
O10 O 0.847 0.915 0.630
O11 O 0.858 0.393 0.624
O12 O 0.915 0.847 0.130
```

The 6 most intense peaks (2θ = 15–90°), in order of falling intensity:
| two_theta | I_rel |
| --- | --- |
| 30.92 | 100.0 |
| 43.55 | 30.6 |
| 30.36 | 26.2 |
| 30.47 | 26.0 |
| 18.69 | 23.7 |
| 54.43 | 20.4 |

***

[6]
Starting from a cell relaxed with GGA+U, the X-ray diffraction stick pattern of BaTaMnO6 was simulated for λ = 1.5418 Å (Cu Kα).
No peak broadening, texture or thermal motion is included.

Cell and atoms:
```
data_BaTaMnO6
_cell_length_a 5.247
_cell_length_b 5.247
_cell_length_c 5.793
_cell_angle_alpha 90.00
_cell_angle_beta 90.00
_cell_angle_gamma 120.00
_symmetry_space_group_name_H-M 'P 1'
_symmetry_Int_Tables_number 1
_symmetry_space_group_name_Hall 'P 1'
loop_
_atom_site_label
_atom_site_type_symbol
_atom_site_fract_x
_atom_site_fract_y
_atom_site_fract_z
Ba1 Ba 0.000 0.000 0.000
Ta1 Ta 0.667 0.333 0.500
Mn1 Mn 0.333 0.667 0.500
O1 O 0.010 0.400 0.693
O2 O 0.010 0.611 0.307
O3 O 0.389 0.400 0.307
O4 O 0.389 0.990 0.693
O5 O 0.600 0.611 0.693
O6 O 0.600 0.990 0.307
```

The 6 most intense peaks (2θ = 15–90°), in order of falling intensity:
| two_theta | I_rel |
| --- | --- |
| 24.90 | 100.0 |
| 46.71 | 37.9 |
| 34.17 | 29.9 |
| 55.83 | 21.3 |
| 42.75 | 20.3 |
| 15.30 | 14.0 |

***

[7]
Starting from a cell relaxed with GGA+U, the X-ray diffraction stick pattern of Ba2Tb2Mn4O11 was simulated for λ = 1.5418 Å (Cu Kα).
No peak broadening, texture or thermal motion is included.

Cell and atoms:
```
data_Ba2Tb2Mn4O11
_cell_length_a 9.624
_cell_length_b 9.624
_cell_length_c 9.624
_cell_angle_alpha 129.19
_cell_angle_beta 71.74
_cell_angle_gamma 132.95
_symmetry_space_group_name_H-M 'P 1'
_symmetry_Int_Tables_number 1
_symmetry_space_group_name_Hall 'P 1'
loop_
_atom_site_label
_atom_site_type_symbol
_atom_site_fract_x
_atom_site_fract_y
_atom_site_fract_z
Ba1 Ba 0.248 0.248 0.496
Ba2 Ba 0.252 0.748 0.000
Ba3 Ba 0.748 0.252 0.000
Ba4 Ba 0.752 0.752 0.504
Tb1 Tb 0.004 0.777 0.781
Tb2 Tb 0.496 0.277 0.772
Tb3 Tb 0.504 0.723 0.228
Tb4 Tb 0.996 0.223 0.219
Mn1 Mn 0.125 0.250 0.875
Mn2 Mn 0.136 0.750 0.386
Mn3 Mn 0.364 0.750 0.614
Mn4 Mn 0.375 0.250 0.125
Mn5 Mn 0.625 0.750 0.875
Mn6 Mn 0.636 0.250 0.386
Mn7 Mn 0.864 0.250 0.614
Mn8 Mn 0.875 0.750 0.125
O1 O 0.001 0.250 0.751
O2 O 0.093 0.550 0.643
O3 O 0.113 0.942 0.631
O4 O 0.115 0.967 0.082
O5 O 0.189 0.558 0.170
O6 O 0.250 0.250 0.000
O7 O 0.311 0.482 0.369
O8 O 0.385 0.467 0.851
O9 O 0.387 0.018 0.830
O10 O 0.407 0.050 0.457
O11 O 0.499 0.250 0.249
O12 O 0.501 0.750 0.751
O13 O 0.593 0.950 0.543
O14 O 0.613 0.982 0.170
O15 O 0.615 0.533 0.149
O16 O 0.689 0.518 0.631
O17 O 0.750 0.750 0.000
O18 O 0.811 0.442 0.830
O19 O 0.885 0.033 0.918
O20 O 0.887 0.058 0.369
O21 O 0.907 0.450 0.357
O22 O 0.999 0.750 0.249
```

The 6 most intense peaks (2θ = 15–90°), in order of falling intensity:
| two_theta | I_rel |
| --- | --- |
| 31.56 | 100.0 |
| 31.82 | 96.4 |
| 32.72 | 94.2 |
| 39.51 | 47.2 |
| 57.52 | 39.8 |
| 58.00 | 36.7 |

***

[8]
Starting from a cell relaxed with GGA+U, the X-ray diffraction stick pattern of BaTbMn2O8 was simulated for λ = 1.5418 Å (Cu Kα).
No peak broadening, texture or thermal motion is included.

Cell and atoms:
```
data_BaTbMn2O8
_cell_length_a 5.670
_cell_length_b 5.670
_cell_length_c 7.716
_cell_angle_alpha 90.00
_cell_angle_beta 90.00
_cell_angle_gamma 120.00
_symmetry_space_group_name_H-M 'P 1'
_symmetry_Int_Tables_number 1
_symmetry_space_group_name_Hall 'P 1'
loop_
_atom_site_label
_atom_site_type_symbol
_atom_site_fract_x
_atom_site_fract_y
_atom_site_fract_z
Ba1 Ba 0.000 0.000 0.000
Tb1 Tb 0.000 0.000 0.500
Mn1 Mn 0.333 0.667 0.768
Mn2 Mn 0.667 0.333 0.232
O1 O 0.168 0.339 0.698
O2 O 0.170 0.832 0.698
O3 O 0.333 0.667 0.983
O4 O 0.339 0.170 0.302
O5 O 0.661 0.830 0.698
O6 O 0.667 0.333 0.017
O7 O 0.830 0.168 0.302
O8 O 0.832 0.661 0.302
```

The 6 most intense peaks (2θ = 15–90°), in order of falling intensity:
| two_theta | I_rel |
| --- | --- |
| 29.44 | 100.0 |
| 18.07 | 86.2 |
| 31.56 | 68.0 |
| 43.70 | 47.3 |
| 21.45 | 46.6 |
| 54.90 | 34.4 |

***

[9]
Starting from a cell relaxed with GGA+U, the X-ray diffraction stick pattern of BaTb4Mn3O12 was simulated for λ = 1.5418 Å (Cu Kα).
No peak broadening, texture or thermal motion is included.

Cell and atoms:
```
data_BaTb4Mn3O12
_cell_length_a 7.168
_cell_length_b 7.168
_cell_length_c 7.168
_cell_angle_alpha 109.47
_cell_angle_beta 109.47
_cell_angle_gamma 109.47
_symmetry_space_group_name_H-M 'P 1'
_symmetry_Int_Tables_number 1
_symmetry_space_group_name_Hall 'P 1'
loop_
_atom_site_label
_atom_site_type_symbol
_atom_site_fract_x
_atom_site_fract_y
_atom_site_fract_z
Ba1 Ba 0.000 0.000 0.000
Tb1 Tb 0.000 0.000 0.500
Tb2 Tb 0.000 0.500 0.000
Tb3 Tb 0.500 0.000 0.000
Tb4 Tb 0.500 0.500 0.500
Mn1 Mn 0.000 0.500 0.500
Mn2 Mn 0.500 0.000 0.500
Mn3 Mn 0.500 0.500 0.000
O1 O 0.157 0.326 0.483
O2 O 0.157 0.674 0.832
O3 O 0.168 0.843 0.326
O4 O 0.326 0.168 0.843
O5 O 0.326 0.483 0.157
O6 O 0.483 0.157 0.326
O7 O 0.517 0.843 0.674
O8 O 0.674 0.517 0.843
O9 O 0.674 0.832 0.157
O10 O 0.832 0.157 0.674
O11 O 0.843 0.326 0.168
O12 O 0.843 0.674 0.517
```

The 6 most intense peaks (2θ = 15–90°), in order of falling intensity:
| two_theta | I_rel |
| --- | --- |
| 30.55 | 100.0 |
| 54.30 | 47.6 |
| 88.38 | 20.8 |
| 43.75 | 20.7 |
| 72.19 | 18.4 |
| 21.47 | 16.1 |